For BaGaH5, a crystal structure in the Materials Project, relaxed with PBE gives the simulated powder XRD pattern in this record (a wavelength of 1.5418 Å).
Kinematic intensities with the Lorentz-polarization factor, no thermal factor.

Top 10 peaks for 2θ from 15° to 90°, by angle:
h k l, 2theta, I/Imax
0 1 1, 21.9, 18
1 1 0, 26.2, 100
1 0 -2, 27.3, 86
0 1 2, 28.4, 71
2 0 0, 35.7, 24
0 2 0, 39.1, 15
2 1 -2, 46.2, 19
2 1 2, 46.3, 18
1 2 -2, 48.3, 27
1 1 -4, 50.2, 18

Structural model:
Lattice parameters (Å, degrees): 5.025 4.612 8.599 90.00 90.17 90.00
Positions (direct):
Ba (0.246, 0.000, 0.340)
Ba (0.754, 0.500, 0.660)
Ga (0.256, 0.913, 0.856)
Ga (0.744, 0.413, 0.144)
H (0.009, 0.014, 0.750)
H (0.239, 0.037, 0.026)
H (0.253, 0.503, 0.517)
H (0.256, 0.564, 0.842)
H (0.477, 0.513, 0.232)
H (0.523, 0.013, 0.768)
H (0.744, 0.064, 0.158)
H (0.747, 0.003, 0.483)
H (0.761, 0.537, 0.974)
H (0.991, 0.514, 0.250)

For BaGaSiH, a crystal structure in the Materials Project, relaxed with PBE gives the simulated powder XRD pattern in this record (a wavelength of 1.5418 Å).
Kinematic intensities with the Lorentz-polarization factor, no thermal factor.

Top 10 peaks for 2θ from 15° to 90°, by angle:
h k l, 2theta, I/Imax
1 0 0, 23.9, 19
0 1 1, 29.4, 100
0 0 2, 34.0, 16
1 1 0, 42.0, 42
2 0 1, 52.1, 20
1 1 2, 55.1, 23
0 1 3, 58.0, 14
1 2 1, 69.0, 18
3 0 0, 76.7, 12
3 0 2, 86.7, 11

Structural model:
Lattice parameters (Å, degrees): 4.301 4.301 5.270 90.00 90.00 120.00
Positions (direct):
Ba (0.000, 0.000, 0.000)
Ga (0.667, 0.333, 0.542)
Si (0.333, 0.667, 0.456)
H (0.667, 0.333, 0.876)